Diffraction record for DyU2Te5. The powder diffractogram is simulated, not measured: it uses DFT lattice parameters and positions (PBE) and Cu Ka.

Most intense lines, 5 to 70 degrees two-theta, by angle:
- 11.88°, d 7.451, I 19, hkl 1 0 0
- 23.81°, d 3.736, I 63, hkl 1 1 1
- 26.75°, d 3.332, I 23, hkl 2 1 0
- 29.29°, d 3.049, I 100, hkl 2 0 1
- 33.80°, d 2.652, I 34, hkl 0 0 2
- 34.03°, d 2.634, I 60, hkl 2 2 0
- 41.96°, d 2.153, I 19, hkl 3 1 1
- 48.72°, d 1.869, I 44, hkl 2 2 2
- 58.02°, d 1.590, I 22, hkl 4 2 1
- 60.76°, d 1.524, I 20, hkl 4 0 2

Atomic structure:
Cell: 7.451 7.451 5.304 Å, 90.00 90.00 90.00°
Space group P4/mmm (No. 123)
Unique sites:
Dy 0.000 0.000 0.000 [1 per cell]
U 0.000 0.500 0.500 [2 per cell]
Te 0.000 0.000 0.500 [1 per cell]
Te 0.280 0.280 0.000 [4 per cell]

Diffraction record for DyY2Te2. The powder diffractogram is simulated, not measured: it uses DFT lattice parameters and positions (PBE) and Cu Ka.

Most intense lines, 5 to 70 degrees two-theta, by angle:
- 26.32°, d 3.386, I 44, hkl 0 1 2
- 26.50°, d 3.364, I 36, hkl 1 1 -1
- 28.89°, d 3.091, I 27, hkl 1 0 3
- 29.42°, d 3.036, I 26, hkl 2 0 0
- 31.27°, d 2.860, I 100, hkl 0 1 3
- 32.86°, d 2.726, I 47, hkl 1 1 -3
- 33.78°, d 2.654, I 25, hkl 2 0 -3
- 38.68°, d 2.328, I 42, hkl 2 1 1
- 40.46°, d 2.230, I 29, hkl 2 1 -3
- 44.06°, d 2.055, I 39, hkl 0 2 0

Atomic structure:
Cell: 6.171 4.110 12.144 Å, 90.00 100.28 90.00°
Space group P2_1/m (No. 11)
Unique sites:
Dy 0.216 0.250 0.466 [2 per cell]
Y 0.111 0.250 0.741 [2 per cell]
Y 0.277 0.250 0.120 [2 per cell]
Te 0.238 0.750 0.927 [2 per cell]
Te 0.413 0.750 0.315 [2 per cell]

Diffraction record for DyYTe. The powder diffractogram is simulated, not measured: it uses DFT lattice parameters and positions (PBE) and Cu Ka.

Most intense lines, 5 to 70 degrees two-theta, by angle:
- 11.88°, d 7.451, I 35, hkl 0 0 1
- 25.33°, d 3.516, I 93, hkl 0 1 1
- 26.90°, d 3.314, I 43, hkl 1 1 0
- 28.85°, d 3.094, I 29, hkl 2 0 -1
- 31.82°, d 2.812, I 44, hkl 1 0 2
- 32.56°, d 2.750, I 63, hkl 2 0 -2
- 32.90°, d 2.723, I 100, hkl 0 1 2
- 33.14°, d 2.704, I 60, hkl 1 1 -2
- 37.69°, d 2.387, I 83, hkl 2 1 0
- 45.48°, d 1.994, I 37, hkl 0 2 0

Atomic structure:
Cell: 6.229 3.988 7.789 Å, 90.00 106.94 90.00°
Space group P2_1/m (No. 11)
Unique sites:
Dy 0.166 0.250 0.391 [2 per cell]
Y 0.212 0.250 0.949 [2 per cell]
Te 0.375 0.750 0.705 [2 per cell]

Diffraction record for Dy3YTe. The powder diffractogram is simulated, not measured: it uses DFT lattice parameters and positions (PBE) and Cu Ka.

Most intense lines, 5 to 70 degrees two-theta, by angle:
- 29.88°, d 2.990, I 61, hkl 2 2 -1
- 30.14°, d 2.966, I 100, hkl 1 0 2
- 31.76°, d 2.817, I 42, hkl 1 1 2
- 32.28°, d 2.773, I 45, hkl 1 3 -1
- 32.80°, d 2.731, I 65, hkl 1 3 0
- 33.93°, d 2.642, I 44, hkl 1 2 -3
- 34.55°, d 2.596, I 40, hkl 3 1 -2
- 36.00°, d 2.495, I 28, hkl 3 1 -1
- 36.32°, d 2.473, I 22, hkl 2 0 -4
- 37.80°, d 2.380, I 24, hkl 0 2 3

Atomic structure:
Cell: 8.141 8.917 9.940 Å, 90.00 121.92 90.00°
Space group P2_1/c (No. 14)
Unique sites:
Dy 0.093 0.123 0.270 [4 per cell]
Dy 0.242 0.058 0.657 [4 per cell]
Dy 0.400 0.678 0.964 [4 per cell]
Y 0.314 0.062 0.042 [4 per cell]
Te 0.115 0.712 0.591 [4 per cell]

Diffraction record for Dy6ZnTe4. The powder diffractogram is simulated, not measured: it uses DFT lattice parameters and positions (PBE) and Cu Ka.

Most intense lines, 5 to 70 degrees two-theta, by angle:
- 25.69°, d 3.468, I 37, hkl 1 2 2
- 25.84°, d 3.448, I 20, hkl 1 0 4
- 31.55°, d 2.836, I 74, hkl 1 3 1
- 33.45°, d 2.679, I 64, hkl 2 1 4
- 35.05°, d 2.560, I 100, hkl 2 2 3
- 36.90°, d 2.436, I 20, hkl 0 0 6
- 39.64°, d 2.274, I 25, hkl 4 1 0
- 49.08°, d 1.856, I 27, hkl 5 1 1
- 63.80°, d 1.459, I 24, hkl 5 3 2
- 67.99°, d 1.379, I 21, hkl 3 5 4

Atomic structure:
Cell: 12.0348 12.0348 14.6145 Å, 90.00 90.00 120.00°
Space group R-3c (No. 167, hexagonal axes)
Unique sites:
Dy 0.0355 0.2036 0.3915 [36 per cell]
Zn 0.0000 0.0000 0.0000 [6 per cell]
Te 0.0000 0.0000 0.2500 [6 per cell]
Te 0.0000 0.3815 0.2500 [18 per cell]

Diffraction record for DyTh2. The powder diffractogram is simulated, not measured: it uses DFT lattice parameters and positions (PBE) and Cu Ka.

Most intense lines, 5 to 70 degrees two-theta, by angle:
- 10.15°, d 8.716, I 5, hkl 0 0 1
- 30.66°, d 2.916, I 100, hkl 1 0 1
- 30.78°, d 2.905, I 33, hkl 0 0 3
- 35.58°, d 2.523, I 68, hkl 0 1 2
- 51.13°, d 1.786, I 24, hkl 1 1 0
- 51.28°, d 1.782, I 24, hkl 1 0 4
- 60.85°, d 1.522, I 44, hkl 0 2 1
- 61.01°, d 1.519, I 15, hkl 0 1 5
- 63.84°, d 1.458, I 13, hkl 2 0 2
- 64.11°, d 1.453, I 4, hkl 0 0 6

Atomic structure:
Cell: 3.5729 3.5729 8.7158 Å, 90.00 90.00 120.00°
Space group P-3m1 (No. 164)
Unique sites:
Dy 0.0000 0.0000 0.0000 [1 per cell]
Th 0.3333 0.6667 0.6626 [2 per cell]

Diffraction record for Dy6Th. The powder diffractogram is simulated, not measured: it uses DFT lattice parameters and positions (PBE) and Cu Ka.

Most intense lines, 5 to 70 degrees two-theta, by angle:
- 15.78°, d 5.615, I 6, hkl 1 1 0
- 22.39°, d 3.971, I 41, hkl 2 0 0
- 27.51°, d 3.242, I 100, hkl 2 1 1
- 39.30°, d 2.292, I 24, hkl 2 2 2
- 42.60°, d 2.122, I 63, hkl 3 2 1
- 45.70°, d 1.985, I 30, hkl 4 0 0
- 51.46°, d 1.776, I 18, hkl 4 2 0
- 54.17°, d 1.693, I 16, hkl 3 3 2
- 64.24°, d 1.450, I 19, hkl 5 2 1
- 66.62°, d 1.404, I 20, hkl 4 4 0

Atomic structure:
Cell: 7.941 7.941 7.941 Å, 90.00 90.00 90.00°
Space group Im-3m (No. 229)
Unique sites:
Dy 0.000 0.250 0.500 [12 per cell]
Th 0.000 0.000 0.000 [2 per cell]

Diffraction record for Dy5Th4. The powder diffractogram is simulated, not measured: it uses DFT lattice parameters and positions (PBE) and Cu Ka.

Most intense lines, 5 to 70 degrees two-theta, by angle:
- 16.63°, d 5.331, I 1, hkl 2 0 0
- 19.45°, d 4.564, I 1, hkl 1 0 1
- 30.76°, d 2.906, I 100, hkl 3 0 1
- 35.56°, d 2.525, I 17, hkl 0 0 2
- 35.73°, d 2.513, I 34, hkl 3 3 0
- 51.29°, d 1.781, I 24, hkl 3 3 2
- 51.42°, d 1.777, I 12, hkl 6 0 0
- 60.90°, d 1.521, I 15, hkl 3 0 3
- 61.12°, d 1.516, I 29, hkl 6 3 1
- 64.08°, d 1.453, I 13, hkl 6 0 2

Atomic structure:
Cell: 10.663 10.663 5.050 Å, 90.00 90.00 90.00°
Space group I4/mmm (No. 139)
Unique sites:
Dy 0.000 0.000 0.000 [2 per cell]
Dy 0.000 0.329 0.000 [8 per cell]
Th 0.166 0.166 0.500 [8 per cell]

Diffraction record for Dy13Th3. The powder diffractogram is simulated, not measured: it uses DFT lattice parameters and positions (PBE) and Cu Ka.

Most intense lines, 5 to 70 degrees two-theta, by angle:
- 28.69°, d 3.112, I 24, hkl 0 0 4
- 31.23°, d 2.864, I 25, hkl 0 4 0
- 32.75°, d 2.734, I 100, hkl 2 2 2
- 42.92°, d 2.107, I 16, hkl 0 4 4
- 50.82°, d 1.797, I 19, hkl 4 0 0
- 56.55°, d 1.627, I 21, hkl 2 6 2
- 60.87°, d 1.522, I 23, hkl 4 4 0
- 61.78°, d 1.502, I 16, hkl 0 2 8
- 65.15°, d 1.432, I 3, hkl 0 8 0
- 68.65°, d 1.367, I 4, hkl 4 4 4

Atomic structure:
Cell: 7.193 11.456 12.437 Å, 90.00 90.00 90.00°
Space group Amm2 (No. 38)
Unique sites:
Dy 0.000 0.000 0.000 [2 per cell]
Dy 0.000 0.000 0.506 [2 per cell]
Dy 0.000 0.250 0.175 [4 per cell]
Dy 0.252 0.000 0.255 [4 per cell]
Dy 0.252 0.249 0.421 [8 per cell]
Dy 0.500 0.000 0.509 [2 per cell]
Dy 0.500 0.247 0.170 [4 per cell]
Th 0.253 0.000 0.756 [4 per cell]
Th 0.500 0.000 0.999 [2 per cell]

Diffraction record for DyTh7. The powder diffractogram is simulated, not measured: it uses DFT lattice parameters and positions (PBE) and Cu Ka.

Most intense lines, 5 to 70 degrees two-theta, by angle:
- 15.23°, d 5.818, I 1, hkl 1 1 1
- 30.73°, d 2.909, I 100, hkl 2 2 2
- 35.64°, d 2.519, I 51, hkl 4 0 0
- 51.29°, d 1.781, I 37, hkl 4 4 0
- 60.99°, d 1.519, I 45, hkl 6 2 2
- 64.01°, d 1.455, I 13, hkl 4 4 4

Atomic structure:
Cell: 10.077 10.077 10.077 Å, 90.00 90.00 90.00°
Space group Fm-3m (No. 225)
Unique sites:
Dy 0.000 0.000 0.000 [4 per cell]
Th 0.000 0.000 0.500 [4 per cell]
Th 0.000 0.250 0.250 [24 per cell]

Diffraction record for Dy3Th8. The powder diffractogram is simulated, not measured: it uses DFT lattice parameters and positions (PBE) and Cu Ka.

Most intense lines, 5 to 70 degrees two-theta, by angle:
- 30.71°, d 2.911, I 100, hkl 0 1 11
- 30.89°, d 2.895, I 33, hkl 0 0 33
- 35.66°, d 2.518, I 68, hkl 1 0 22
- 51.21°, d 1.784, I 25, hkl 1 1 0
- 51.44°, d 1.776, I 24, hkl 0 1 44
- 60.90°, d 1.521, I 15, hkl 2 0 11
- 61.01°, d 1.519, I 29, hkl 1 1 33
- 61.22°, d 1.514, I 15, hkl 1 0 55
- 63.96°, d 1.456, I 13, hkl 0 2 22
- 64.37°, d 1.447, I 4, hkl 0 0 66

Atomic structure:
Cell: 3.5680 3.5680 95.5254 Å, 90.00 90.00 120.00°
Space group R-3m (No. 166, hexagonal axes)
Unique sites:
Dy 0.0000 0.0000 0.0000 [3 per cell]
Dy 0.0000 0.0000 0.2733 [6 per cell]
Th 0.0000 0.0000 0.0909 [6 per cell]
Th 0.0000 0.0000 0.1819 [6 per cell]
Th 0.0000 0.0000 0.3634 [6 per cell]
Th 0.0000 0.0000 0.4543 [6 per cell]

Diffraction record for DyTh2Ti. The powder diffractogram is simulated, not measured: it uses DFT lattice parameters and positions (PBE) and Cu Ka.

Most intense lines, 5 to 70 degrees two-theta, by angle:
- 24.68°, d 3.607, I 14, hkl 1 0 0
- 26.77°, d 3.330, I 16, hkl 1 0 1
- 30.95°, d 2.889, I 9, hkl 0 0 3
- 32.29°, d 2.772, I 100, hkl 1 0 2
- 35.19°, d 2.550, I 44, hkl 1 1 0
- 47.56°, d 1.912, I 12, hkl 1 1 3
- 50.62°, d 1.803, I 16, hkl 2 0 0
- 55.66°, d 1.651, I 16, hkl 1 1 4
- 59.13°, d 1.562, I 11, hkl 1 0 5
- 61.33°, d 1.512, I 32, hkl 2 1 2

Atomic structure:
Cell: 3.607 3.607 8.668 Å, 90.00 90.00 90.00°
Space group P4/mmm (No. 123)
Unique sites:
Dy 0.000 0.000 0.000 [1 per cell]
Th 0.500 0.500 0.281 [2 per cell]
Ti 0.000 0.000 0.500 [1 per cell]